# 1
Starting from a PBE-relaxed structure, the PXRD pattern of SrLi2PaTe4 was computed for a wavelength of 1.5418 Å.

Largest 10 diffraction maxima, sorted by position, 15 to 90 degrees two-theta:
- d 5.649, rel. 72
- d 3.519, rel. 17
- d 3.180, rel. 49
- d 3.152, rel. 100
- d 2.753, rel. 25
- d 2.239, rel. 74
- d 2.229, rel. 38
- d 1.825, rel. 40
- d 1.410, rel. 18
- d 1.289, rel. 25

Structure:
Cell lengths 7.7678, 7.7678, 7.7678 Å; angles 132.11, 132.11, 70.05 degrees
Fractional coordinates of all 8 atoms:
Sr 0.0000 0.0000 0.0000
Li 0.5000 0.5000 0.0000
Li 0.7500 0.2500 0.5000
Pa 0.2500 0.7500 0.5000
Te 0.0113 0.5113 0.5000
Te 0.2600 0.2600 0.0000
Te 0.4887 0.9887 0.5000
Te 0.7400 0.7400 0.0000



# 2
Starting from a PBE-relaxed structure, the PXRD pattern of YAlZn was computed for a wavelength of 1.5418 Å.

Largest 10 diffraction maxima, sorted by position, 15 to 90 degrees two-theta:
- d 3.867, rel. 22
- d 2.707, rel. 8
- d 2.635, rel. 100
- d 2.239, rel. 19
- d 2.229, rel. 35
- d 1.705, rel. 17
- d 1.700, rel. 7
- d 1.400, rel. 10
- d 1.357, rel. 8
- d 1.291, rel. 9

Structure:
Cell lengths 5.7302, 5.7302, 5.7302 Å; angles 134.00, 102.19, 95.41 degrees
Fractional coordinates of all 6 atoms:
Y 0.0000 0.0000 0.0000
Y 0.5487 0.0487 0.5000
Al 0.4051 0.6880 0.7171
Al 0.9710 0.6880 0.2829
Zn 0.1420 0.3576 0.7844
Zn 0.5732 0.3576 0.2156



# 3
Starting from a PBE-relaxed structure, the PXRD pattern of NaTlSb was computed for a wavelength of 1.5418 Å.

Largest 10 diffraction maxima, sorted by position, 15 to 90 degrees two-theta:
- d 5.324, rel. 46
- d 4.366, rel. 94
- d 3.048, rel. 61
- d 2.930, rel. 30
- d 2.778, rel. 100
- d 2.728, rel. 56
- d 2.637, rel. 95
- d 2.098, rel. 27
- d 2.033, rel. 41
- d 1.556, rel. 27

Structure:
Cell lengths 6.0944, 6.0944, 7.3544 Å; angles 120.01, 120.01, 53.17 degrees
Fractional coordinates of all 6 atoms:
Na 0.1933 0.1933 0.2958
Na 0.8067 0.8067 0.7042
Tl 0.1530 0.1530 0.7544
Tl 0.8470 0.8470 0.2456
Sb 0.4907 0.4907 0.1936
Sb 0.5093 0.5093 0.8064



# 4
Starting from a PBE-relaxed structure, the PXRD pattern of PbI was computed for a wavelength of 1.5418 Å.

Largest 10 diffraction maxima, sorted by position, 15 to 90 degrees two-theta:
- d 4.924, rel. 48
- d 4.647, rel. 28
- d 3.844, rel. 39
- d 3.206, rel. 70
- d 3.102, rel. 100
- d 2.407, rel. 27
- d 2.380, rel. 52
- d 2.303, rel. 45
- d 2.163, rel. 41
- d 1.604, rel. 28

Structure:
Cell lengths 5.2196, 5.2196, 6.7975 Å; angles 106.46, 106.46, 94.87 degrees
Fractional coordinates of all 4 atoms:
Pb 0.0000 0.0000 0.0000
Pb 0.0000 0.0000 0.5000
I 0.3703 0.6297 0.7500
I 0.6297 0.3703 0.2500



Repeat the second record exactly.
Starting from a PBE-relaxed structure, the PXRD pattern of YAlZn was computed for a wavelength of 1.5418 Å.

Largest 10 diffraction maxima, sorted by position, 15 to 90 degrees two-theta:
- d 3.867, rel. 22
- d 2.707, rel. 8
- d 2.635, rel. 100
- d 2.239, rel. 19
- d 2.229, rel. 35
- d 1.705, rel. 17
- d 1.700, rel. 7
- d 1.400, rel. 10
- d 1.357, rel. 8
- d 1.291, rel. 9

Structure:
Cell lengths 5.7302, 5.7302, 5.7302 Å; angles 134.00, 102.19, 95.41 degrees
Fractional coordinates of all 6 atoms:
Y 0.0000 0.0000 0.0000
Y 0.5487 0.0487 0.5000
Al 0.4051 0.6880 0.7171
Al 0.9710 0.6880 0.2829
Zn 0.1420 0.3576 0.7844
Zn 0.5732 0.3576 0.2156